Simulated XRD peak list of AcBi3Pt for CuKα, from a crystal structure in Alexandria, relaxed with PBE.
Intensities are scaled so that the largest is 100.

Principal peaks in the range 10° ≤ 2θ ≤ 90°, in order of falling intensity:
2θ = 29.90°, I 100
2θ = 34.13°, I 72
2θ = 38.23°, I 66
2θ = 26.93°, I 33
2θ = 26.62°, I 26
2θ = 33.48°, I 25
2θ = 24.24°, I 19
2θ = 56.72°, I 17

Crystal structure
Unit cell a=6.621 b=6.821 c=7.060 alpha=78.98 beta=89.93 gamma=89.98
Sites, in units of the cell vectors:
Ac 0.000 0.000 0.000
Ac 0.500 0.375 0.375
Bi 0.026 0.468 0.189
Bi 0.431 0.331 0.880
Bi 0.453 0.877 0.700
Bi 0.526 0.908 0.185
Bi 0.931 0.045 0.496
Bi 0.953 0.497 0.674
Pt 0.202 0.742 0.401
Pt 0.703 0.634 0.974

***

Simulated XRD peak list of La2Sm13 for CuKα, from a crystal structure in Alexandria, relaxed with PBE.
Intensities are scaled so that the largest is 100.

Principal peaks in the range 10° ≤ 2θ ≤ 90°, in order of falling intensity:
2θ = 30.96°, I 100
2θ = 55.11°, I 18
2θ = 44.36°, I 18
2θ = 61.48°, I 16
2θ = 55.03°, I 11
2θ = 40.32°, I 5
2θ = 89.79°, I 5
2θ = 78.88°, I 5

Crystal structure
Unit cell a=6.771 b=9.131 c=9.139 alpha=66.40 beta=82.33 gamma=82.21
Sites, in units of the cell vectors:
La 0.104 0.267 0.433
La 0.896 0.733 0.567
Sm 0.000 0.500 0.000
Sm 0.099 0.932 0.767
Sm 0.205 0.705 0.193
Sm 0.299 0.137 0.964
Sm 0.299 0.470 0.629
Sm 0.402 0.902 0.395
Sm 0.497 0.666 0.833
Sm 0.503 0.334 0.167
Sm 0.598 0.098 0.605
Sm 0.701 0.530 0.371
Sm 0.701 0.863 0.036
Sm 0.795 0.295 0.807
Sm 0.901 0.068 0.233

***

Simulated XRD peak list of Ac6Nd for CuKα, from a crystal structure in Alexandria, relaxed with PBE.
Intensities are scaled so that the largest is 100.

Principal peaks in the range 10° ≤ 2θ ≤ 90°, in order of falling intensity:
2θ = 28.66°, I 100
2θ = 25.77°, I 89
2θ = 31.29°, I 81
2θ = 27.74°, I 65
2θ = 49.63°, I 51
2θ = 35.28°, I 43
2θ = 54.62°, I 38
2θ = 32.95°, I 37

Crystal structure
Unit cell a=7.196 b=7.196 c=12.448 alpha=90.00 beta=90.00 gamma=90.00
Sites, in units of the cell vectors:
Ac 0.078 0.578 0.137
Ac 0.078 0.922 0.863
Ac 0.250 0.250 0.361
Ac 0.250 0.250 0.639
Ac 0.422 0.578 0.863
Ac 0.422 0.922 0.137
Ac 0.578 0.078 0.863
Ac 0.578 0.422 0.137
Ac 0.750 0.750 0.361
Ac 0.750 0.750 0.639
Ac 0.922 0.078 0.137
Ac 0.922 0.422 0.863
Nd 0.250 0.750 0.500
Nd 0.750 0.250 0.500

***

Simulated XRD peak list of Cs4SbTe4 for CuKα, from a crystal structure in Alexandria, relaxed with PBE.
Intensities are scaled so that the largest is 100.

Principal peaks in the range 10° ≤ 2θ ≤ 90°, in order of falling intensity:
2θ = 18.17°, I 100
2θ = 28.30°, I 61
2θ = 30.77°, I 57
2θ = 28.03°, I 47
2θ = 11.42°, I 37
2θ = 34.73°, I 25
2θ = 33.61°, I 24
2θ = 30.40°, I 23

Crystal structure
Unit cell a=9.921 b=9.921 c=9.921 alpha=126.03 beta=126.03 gamma=79.84
Sites, in units of the cell vectors:
Cs 0.000 0.500 0.500
Cs 0.197 0.197 0.000
Cs 0.500 0.000 0.500
Cs 0.803 0.803 0.000
Sb 0.500 0.500 0.000
Te 0.204 0.204 0.634
Te 0.430 0.796 0.000
Te 0.570 0.570 0.366
Te 0.796 0.430 0.000

***

Simulated XRD peak list of Pm8ZnRh5 for CuKα, from a crystal structure in Alexandria, relaxed with PBE.
Intensities are scaled so that the largest is 100.

Principal peaks in the range 10° ≤ 2θ ≤ 90°, in order of falling intensity:
2θ = 31.77°, I 100
2θ = 32.17°, I 46
2θ = 37.80°, I 28
2θ = 37.92°, I 26
2θ = 38.13°, I 23
2θ = 52.37°, I 18
2θ = 28.53°, I 17
2θ = 64.50°, I 16

Crystal structure
Unit cell a=7.683 b=7.683 c=7.683 alpha=109.09 beta=109.09 gamma=110.24
Sites, in units of the cell vectors:
Pm 0.004 0.389 0.254
Pm 0.125 0.262 0.748
Pm 0.135 0.750 0.746
Pm 0.250 0.996 0.385
Pm 0.514 0.378 0.252
Pm 0.611 0.865 0.615
Pm 0.622 0.875 0.136
Pm 0.738 0.486 0.864
Zn 0.000 0.000 0.000
Rh 0.242 0.628 0.121
Rh 0.372 0.493 0.614
Rh 0.507 0.121 0.879
Rh 0.750 0.250 0.500
Rh 0.879 0.758 0.386

***

Simulated XRD peak list of Pu3Ge7Rh2 for CuKα, from a crystal structure in Alexandria, relaxed with PBE.
Intensities are scaled so that the largest is 100.

Principal peaks in the range 10° ≤ 2θ ≤ 90°, in order of falling intensity:
2θ = 34.62°, I 100
2θ = 42.67°, I 65
2θ = 34.98°, I 40
2θ = 30.02°, I 27
2θ = 37.88°, I 22
2θ = 61.93°, I 22
2θ = 38.73°, I 22
2θ = 56.28°, I 21

Crystal structure
Unit cell a=4.242 b=4.234 c=13.071 alpha=90.00 beta=99.32 gamma=90.00
Sites, in units of the cell vectors:
Pu 0.000 0.000 0.000
Pu 0.317 0.500 0.633
Pu 0.683 0.500 0.367
Ge 0.081 0.500 0.163
Ge 0.223 0.000 0.445
Ge 0.419 0.000 0.838
Ge 0.500 0.500 0.000
Ge 0.581 0.000 0.162
Ge 0.777 0.000 0.555
Ge 0.919 0.500 0.837
Rh 0.128 0.000 0.256
Rh 0.872 0.000 0.744

***

Simulated XRD peak list of CdBiBF10 for CuKα, from a crystal structure in Alexandria, relaxed with PBE.
Intensities are scaled so that the largest is 100.

Principal peaks in the range 10° ≤ 2θ ≤ 90°, in order of falling intensity:
2θ = 24.35°, I 100
2θ = 19.18°, I 83
2θ = 18.55°, I 53
2θ = 26.80°, I 50
2θ = 25.41°, I 48
2θ = 20.91°, I 46
2θ = 36.14°, I 38
2θ = 29.93°, I 31

Crystal structure
Unit cell a=8.507 b=9.566 c=9.276 alpha=90.00 beta=93.69 gamma=90.00
Sites, in units of the cell vectors:
Cd 0.173 0.022 0.291
Cd 0.173 0.478 0.791
Cd 0.827 0.522 0.209
Cd 0.827 0.978 0.709
Bi 0.336 0.068 0.731
Bi 0.336 0.432 0.231
Bi 0.664 0.568 0.769
Bi 0.664 0.932 0.269
B 0.063 0.726 0.505
B 0.063 0.774 0.005
B 0.937 0.226 0.995
B 0.937 0.274 0.495
F 0.017 0.146 0.105
F 0.017 0.354 0.605
F 0.049 0.203 0.415
F 0.049 0.297 0.915
F 0.092 0.059 0.704
F 0.092 0.441 0.204
F 0.154 0.635 0.598
F 0.154 0.865 0.098
F 0.165 0.676 0.944
F 0.165 0.824 0.444
F 0.321 0.216 0.225
F 0.321 0.284 0.725
F 0.335 0.076 0.508
F 0.335 0.424 0.008
F 0.337 0.081 0.947
F 0.337 0.419 0.447
F 0.343 0.642 0.232
F 0.343 0.858 0.732
F 0.421 0.578 0.765
F 0.421 0.922 0.265
F 0.579 0.078 0.735
F 0.579 0.422 0.235
F 0.657 0.142 0.268
F 0.657 0.358 0.768
F 0.663 0.581 0.553
F 0.663 0.919 0.053
F 0.665 0.576 0.992
F 0.665 0.924 0.492
F 0.679 0.716 0.275
F 0.679 0.784 0.775
F 0.835 0.176 0.556
F 0.835 0.324 0.056
F 0.846 0.135 0.902
F 0.846 0.365 0.402
F 0.908 0.559 0.796
F 0.908 0.941 0.296
F 0.951 0.703 0.085
F 0.951 0.797 0.585
F 0.983 0.646 0.395
F 0.983 0.854 0.895

***

Simulated XRD peak list of AcUCrS6 for CuKα, from a crystal structure in Alexandria, relaxed with PBE.
Intensities are scaled so that the largest is 100.

Principal peaks in the range 10° ≤ 2θ ≤ 90°, in order of falling intensity:
2θ = 21.80°, I 100
2θ = 41.34°, I 44
2θ = 44.97°, I 32
2θ = 27.19°, I 32
2θ = 35.12°, I 31
2θ = 48.05°, I 16
2θ = 60.89°, I 14
2θ = 15.60°, I 13

Crystal structure
Unit cell a=6.559 b=6.559 c=5.856 alpha=90.00 beta=90.00 gamma=120.00
Sites, in units of the cell vectors:
Ac 0.000 0.000 0.000
U 0.667 0.333 0.500
Cr 0.333 0.667 0.000
S 0.016 0.395 0.247
S 0.016 0.621 0.753
S 0.379 0.395 0.753
S 0.379 0.984 0.247
S 0.605 0.621 0.247
S 0.605 0.984 0.753

***

Simulated XRD peak list of Sm3TmSc4 for CuKα, from a crystal structure in Alexandria, relaxed with PBE.
Intensities are scaled so that the largest is 100.

Principal peaks in the range 10° ≤ 2θ ≤ 90°, in order of falling intensity:
2θ = 33.85°, I 100
2θ = 34.09°, I 44
2θ = 25.47°, I 41
2θ = 12.60°, I 36
2θ = 32.94°, I 35
2θ = 29.46°, I 21
2θ = 63.48°, I 20
2θ = 59.41°, I 19

Crystal structure
Unit cell a=10.876 b=7.025 c=6.009 alpha=90.00 beta=90.00 gamma=90.00
Sites, in units of the cell vectors:
Sm 0.000 0.136 0.000
Sm 0.250 0.135 0.347
Sm 0.250 0.865 0.847
Sm 0.500 0.864 0.500
Sm 0.750 0.135 0.347
Sm 0.750 0.865 0.847
Tm 0.000 0.862 0.498
Tm 0.500 0.138 0.998
Sc 0.000 0.386 0.509
Sc 0.000 0.614 0.009
Sc 0.248 0.613 0.338
Sc 0.252 0.387 0.838
Sc 0.500 0.386 0.509
Sc 0.500 0.614 0.009
Sc 0.748 0.387 0.838
Sc 0.752 0.613 0.338

***

Simulated XRD peak list of La2HoTe3 for CuKα, from a crystal structure in Alexandria, relaxed with PBE.
Intensities are scaled so that the largest is 100.

Principal peaks in the range 10° ≤ 2θ ≤ 90°, in order of falling intensity:
2θ = 28.03°, I 100
2θ = 40.05°, I 51
2θ = 65.56°, I 23
2θ = 49.78°, I 14
2θ = 49.43°, I 13
2θ = 40.29°, I 13
2θ = 39.88°, I 12
2θ = 72.55°, I 12

Crystal structure
Unit cell a=4.477 b=6.374 c=13.563 alpha=90.00 beta=90.00 gamma=90.00
Sites, in units of the cell vectors:
La 0.000 0.000 0.172
La 0.000 0.000 0.828
La 0.500 0.500 0.328
La 0.500 0.500 0.672
Ho 0.000 0.000 0.500
Ho 0.500 0.500 0.000
Te 0.000 0.500 0.156
Te 0.000 0.500 0.500
Te 0.000 0.500 0.844
Te 0.500 0.000 0.000
Te 0.500 0.000 0.344
Te 0.500 0.000 0.656